For TlPb2F4, a structure optimized by DFT (PBE) gives the calculated powder diffraction line list in this record (Cu Kα, 1.54184 Å).

Cell and atoms:
```
data_TlPb2F4
_chemical_formula_sum 'Tl2 Pb4 F8'
_space_group_name_H-M_alt 'P 1'
_space_group_IT_number 1
_cell_length_a 6.8286
_cell_length_b 7.5433
_cell_length_c 7.6061
_cell_angle_alpha 60.36
_cell_angle_beta 66.06
_cell_angle_gamma 89.42
loop_
_space_group_symop_operation_xyz
'x,y,z'
loop_
_atom_site_label
_atom_site_type_symbol
_atom_site_fract_x
_atom_site_fract_y
_atom_site_fract_z
Tl1 Tl 0.0000 0.0000 0.0000
Tl2 Tl 0.3280 0.7866 0.4340
Pb1 Pb 0.1628 0.2879 0.2166
Pb2 Pb 0.5883 0.8471 0.8168
Pb3 Pb 0.6649 0.3429 0.2171
Pb4 Pb 0.7434 0.4492 0.6138
F1 F 0.1596 0.5907 0.2342
F2 F 0.4100 0.5391 0.8025
F3 F 0.4884 0.2017 0.6503
F4 F 0.6687 0.6876 0.2075
F5 F 0.6700 0.1830 0.9822
F6 F 0.6742 0.9482 0.4445
F7 F 0.8445 0.6354 0.7787
F8 F 0.9177 0.1132 0.6343
```

The 10 most intense peaks (2θ = 10–90°), by angle:
2θ = 22.8°, I 41, (-1 1 1); 2θ = 23.8°, I 47, (1 -1 1); 2θ = 25.6°, I 100, (0 1 -1); 2θ = 25.7°, I 58, (0 1 2); 2θ = 28.0°, I 60, (0 2 0); 2θ = 28.2°, I 100, (1 2 2); 2θ = 28.4°, I 62, (1 -2 0); 2θ = 29.2°, I 67, (2 1 1); 2θ = 29.5°, I 83, (2 -1 0); 2θ = 31.2°, I 46, (2 0 2)

---

For TlPbF2, a structure optimized by DFT (PBE) gives the calculated powder diffraction line list in this record (Cu Kα, 1.54184 Å).

Cell and atoms:
```
data_TlPbF2
_chemical_formula_sum 'Tl4 Pb4 F8'
_space_group_name_H-M_alt 'P 1 21/c 1'
_space_group_IT_number 14
_cell_length_a 10.6020
_cell_length_b 6.0611
_cell_length_c 5.8036
_cell_angle_alpha 90.00
_cell_angle_beta 91.57
_cell_angle_gamma 90.00
loop_
_space_group_symop_operation_xyz
'x,y,z'
'-x,-y,-z'
'-x,y+1/2,-z+1/2'
'x,-y+1/2,z+1/2'
loop_
_atom_site_label
_atom_site_type_symbol
_atom_site_fract_x
_atom_site_fract_y
_atom_site_fract_z
Tl1 Tl 0.0649 0.1225 0.2480
Pb1 Pb 0.3594 0.5339 0.2164
F1 F 0.2794 0.6147 0.8329
F2 F 0.4903 0.2479 0.4817
```

The 10 most intense peaks (2θ = 10–90°), by angle:
2θ = 22.3°, I 35, (2 1 0); 2θ = 23.0°, I 19, (1 1 1); 2θ = 25.2°, I 35, (3 0 0); 2θ = 26.9°, I 100, (2 1 -1); 2θ = 27.4°, I 76, (2 1 1); 2θ = 30.8°, I 53, (0 0 2); 2θ = 33.4°, I 43, (0 2 1); 2θ = 47.7°, I 23, (5 1 -1); 2θ = 48.5°, I 34, (5 1 1); 2θ = 52.1°, I 18, (2 1 -3)

---

For Tl2PbF6, a structure optimized by DFT (PBE) gives the calculated powder diffraction line list in this record (Cu Kα, 1.54184 Å).

Cell and atoms:
```
data_Tl2PbF6
_chemical_formula_sum 'Tl4 Pb2 F12'
_space_group_name_H-M_alt 'P 1 21/c 1'
_space_group_IT_number 14
_cell_length_a 7.0071
_cell_length_b 8.1895
_cell_length_c 7.6721
_cell_angle_alpha 90.00
_cell_angle_beta 117.28
_cell_angle_gamma 90.00
loop_
_space_group_symop_operation_xyz
'x,y,z'
'-x,-y,-z'
'-x,y+1/2,-z+1/2'
'x,-y+1/2,z+1/2'
loop_
_atom_site_label
_atom_site_type_symbol
_atom_site_fract_x
_atom_site_fract_y
_atom_site_fract_z
Tl1 Tl 0.1678 0.0018 0.3227
Pb1 Pb 0.5000 0.0000 0.0000
F1 F 0.2502 0.1730 0.9212
F2 F 0.2544 0.6768 0.4181
F3 F 0.4656 0.0025 0.7095
```

The 10 most intense peaks (2θ = 10–90°), by angle:
2θ = 21.7°, I 84, (0 2 0); 2θ = 23.3°, I 80, (1 0 -2); 2θ = 25.8°, I 100, (1 1 1); 2θ = 27.7°, I 87, (2 1 -1); 2θ = 32.1°, I 49, (1 2 -2); 2θ = 40.7°, I 37, (1 3 1); 2θ = 41.2°, I 36, (0 1 3); 2θ = 42.0°, I 40, (2 3 -1); 2θ = 45.0°, I 23, (3 1 -3); 2θ = 49.2°, I 22, (3 2 0)

---

For TlPbF, a structure optimized by DFT (PBE) gives the calculated powder diffraction line list in this record (Cu Kα, 1.54184 Å).

Cell and atoms:
```
data_TlPbF
_chemical_formula_sum 'Tl4 Pb4 F4'
_space_group_name_H-M_alt 'A m m 2'
_space_group_IT_number 38
_cell_length_a 14.3524
_cell_length_b 3.7394
_cell_length_c 6.1409
_cell_angle_alpha 90.00
_cell_angle_beta 90.00
_cell_angle_gamma 90.00
loop_
_space_group_symop_operation_xyz
'x,y,z'
'-x,-y,z'
'-x,y,z'
'x,-y,z'
'x,y+1/2,z+1/2'
'-x,-y+1/2,z+1/2'
'-x,y+1/2,z+1/2'
'x,-y+1/2,z+1/2'
loop_
_atom_site_label
_atom_site_type_symbol
_atom_site_fract_x
_atom_site_fract_y
_atom_site_fract_z
Tl1 Tl 0.1955 0.0000 0.0000
Pb1 Pb 0.0000 0.0000 0.3563
Pb2 Pb 0.5000 0.0000 0.3362
F1 F 0.4049 0.0000 0.6742
```

The 10 most intense peaks (2θ = 10–90°), by angle:
2θ = 18.5°, I 23, (3 0 0); 2θ = 24.8°, I 22, (4 0 0); 2θ = 27.9°, I 17, (0 1 1); 2θ = 30.6°, I 100, (2 1 1); 2θ = 31.7°, I 39, (2 0 2); 2θ = 33.7°, I 26, (3 1 1); 2θ = 37.7°, I 22, (4 1 1); 2θ = 50.9°, I 21, (0 1 3); 2θ = 59.1°, I 19, (8 1 1); 2θ = 65.0°, I 14, (10 0 0)

---

For Tm3Tl2PbF12, a structure optimized by DFT (PBE) gives the calculated powder diffraction line list in this record (Cu Kα, 1.54184 Å).

Cell and atoms:
```
data_Tm3Tl2PbF12
_chemical_formula_sum 'Tm9 Tl6 Pb3 F36'
_space_group_name_H-M_alt 'R -3 m'
_space_group_IT_number 166
_space_group_name_Hall '-R 3 2"'
_cell_length_a 8.2834
_cell_length_b 8.2834
_cell_length_c 18.5003
_cell_angle_alpha 90.00
_cell_angle_beta 90.00
_cell_angle_gamma 120.00
loop_
_atom_site_label
_atom_site_type_symbol
_atom_site_fract_x
_atom_site_fract_y
_atom_site_fract_z
Tm1 Tm 0.0000 0.5000 0.0000
Tl1 Tl 0.0000 0.0000 0.1385
Pb1 Pb 0.0000 0.0000 0.5000
F1 F 0.0234 0.5117 0.8845
F2 F 0.0816 0.5408 0.3322
```

The 10 most intense peaks (2θ = 10–90°), by angle:
2θ = 21.5°, I 22, (1 1 0); 2θ = 25.3°, I 38, (0 2 1); 2θ = 25.9°, I 100, (1 1 3); 2θ = 26.7°, I 34, (2 0 2); 2θ = 27.1°, I 21, (0 1 5); 2θ = 29.0°, I 24, (0 0 6); 2θ = 40.5°, I 35, (0 3 3); 2θ = 43.7°, I 39, (2 2 0); 2θ = 46.7°, I 24, (2 0 8); 2θ = 53.3°, I 23, (2 2 6)

---

For Tl3Zn2PbF9, a structure optimized by DFT (PBE) gives the calculated powder diffraction line list in this record (Cu Kα, 1.54184 Å).

Cell and atoms:
```
data_Tl3Zn2PbF9
_chemical_formula_sum 'Tl3 Zn2 Pb1 F9'
_space_group_name_H-M_alt 'P -3 m 1'
_space_group_IT_number 164
_space_group_name_Hall '-P 3 2"'
_cell_length_a 6.1335
_cell_length_b 6.1335
_cell_length_c 7.9229
_cell_angle_alpha 90.00
_cell_angle_beta 90.00
_cell_angle_gamma 120.00
loop_
_atom_site_label
_atom_site_type_symbol
_atom_site_fract_x
_atom_site_fract_y
_atom_site_fract_z
Tl1 Tl 0.0000 0.0000 0.0000
Tl2 Tl 0.3333 0.6667 0.7136
Zn1 Zn 0.3333 0.6667 0.1555
Pb1 Pb 0.0000 0.0000 0.5000
F1 F 0.0000 0.5000 0.0000
F2 F 0.1750 0.3500 0.2988
```

The 10 most intense peaks (2θ = 10–90°), by angle:
2θ = 20.1°, I 21, (0 1 1); 2θ = 28.1°, I 100, (0 1 2); 2θ = 29.1°, I 91, (1 1 0); 2θ = 35.7°, I 16, (0 2 1); 2θ = 40.9°, I 58, (2 0 2); 2θ = 49.1°, I 12, (1 0 4); 2θ = 51.0°, I 39, (1 2 2); 2θ = 51.6°, I 19, (3 0 0); 2θ = 60.4°, I 18, (2 2 0); 2θ = 67.9°, I 18, (3 1 2)

---

Which formula does entry 6 have? Tl3Zn2PbF9